The following is a computed PXRD pattern of Ti2VP3O12. It was derived from a DFT-relaxed cell (GGA+U, Alexandria), using Cu Kα.
Lines closer than 0.1° are merged.

Main lines, sorted by position (2θ from 10° to 80°):
20.47 deg, I = 55
24.13 deg, I = 100
31.80 deg, I = 15
32.86 deg, I = 57
35.86 deg, I = 28
47.12 deg, I = 23
49.42 deg, I = 21
56.10 deg, I = 19

Atomic structure:
```
Ti2VP3O12
1.0
4.3376 2.5043 7.0082
-4.3376 2.5043 7.0082
0.0000 -5.0087 7.0082
Ti V P O
4 2 6 24
Direct
0.1448 0.1448 0.1448
0.3552 0.3552 0.3552
0.6448 0.6448 0.6448
0.8552 0.8552 0.8552
0.0000 0.0000 0.0000
0.5000 0.5000 0.5000
0.0437 0.7500 0.4563
0.2500 0.5437 0.9563
0.4563 0.0437 0.7500
0.5437 0.9563 0.2500
0.7500 0.4563 0.0437
0.9563 0.2500 0.5437
0.0005 0.8149 0.6149
0.0578 0.9117 0.2622
0.0883 0.7378 0.9422
0.1149 0.3149 0.5005
0.1851 0.3851 0.9995
0.2378 0.5883 0.4423
0.2622 0.0577 0.9117
0.3149 0.5005 0.1149
0.3851 0.9995 0.1851
0.4117 0.5578 0.7622
0.4422 0.2378 0.5883
0.4995 0.8851 0.6851
0.5005 0.1149 0.3149
0.5578 0.7622 0.4117
0.5883 0.4423 0.2378
0.6149 0.0005 0.8149
0.6851 0.4995 0.8851
0.7378 0.9422 0.0883
0.7622 0.4117 0.5578
0.8149 0.6149 0.0005
0.8851 0.6851 0.4995
0.9117 0.2622 0.0578
0.9422 0.0883 0.7378
0.9995 0.1851 0.3851
```